Computed X-ray powder pattern
Compound: BeFe2Br
Radiation: a wavelength of 1.5418 Å
Structure: a structure optimized by DFT (GGA-PBE)

Structure:
```
4
Lattice="3.076 0.000 0.000 0.000 3.076 0.000 0.000 0.000 5.849" Properties=species:S:1:pos:R:3 pbc="T T T"
Be 0.000 0.000 0.000
Fe 0.000 0.000 3.656
Fe 1.538 1.538 5.014
Br 1.538 1.538 1.818
```

Main lines, in order of rising 2θ (2θ from 10° to 90°):
| Position (°2θ) | Rel. int. |
| --- | --- |
| 29.0 | 23.2 |
| 32.9 | 40.3 |
| 41.5 | 63.7 |
| 42.7 | 100.0 |
| 60.2 | 19.9 |
| 76.5 | 32.4 |

Computed X-ray powder pattern
Compound: KBeGaBr4
Radiation: a wavelength of 1.5418 Å
Structure: a structure optimized by DFT (GGA-PBE)

Structure:
```
14
Lattice="6.988 0.000 0.000 0.000 7.188 0.000 -2.466 0.000 9.064" Properties=species:S:1:pos:R:3 pbc="T T T"
K 1.455 1.797 0.323
K 3.066 5.391 8.741
Be -0.516 5.391 7.031
Be 5.038 1.797 2.033
Ga 0.351 1.797 4.820
Ga 4.171 5.391 4.244
Br -0.703 0.045 2.597
Br -0.703 3.548 2.597
Br 2.199 5.391 0.137
Br 1.346 5.391 5.900
Br 3.176 1.797 3.164
Br 2.323 1.797 8.927
Br 5.224 3.639 6.467
Br 5.224 7.142 6.467
```

Main lines, in order of rising 2θ (2θ from 10° to 90°):
| Position (°2θ) | Rel. int. |
| --- | --- |
| 28.1 | 94.8 |
| 28.6 | 100.0 |
| 29.3 | 52.0 |
| 31.8 | 94.0 |
| 32.4 | 57.4 |
| 36.5 | 64.8 |

Computed X-ray powder pattern
Compound: Be4H7Br
Radiation: a wavelength of 1.5418 Å
Structure: a structure optimized by DFT (GGA-PBE)

Structure:
```
24
Lattice="11.914 0.000 0.000 0.000 4.733 0.000 0.000 0.000 4.314" Properties=species:S:1:pos:R:3 pbc="T T T"
Be 1.127 0.031 0.000
Be 2.944 3.156 1.244
Be 3.013 1.577 3.401
Be 4.830 4.701 2.157
Be 7.084 4.701 2.157
Be 8.901 1.577 3.401
Be 8.970 3.156 1.244
Be 10.787 0.031 0.000
H 0.000 4.106 3.639
H 1.732 3.809 0.873
H 1.970 0.594 3.312
H 2.647 2.712 2.588
H 3.310 2.021 0.431
H 3.987 4.139 1.155
H 4.225 0.923 3.030
H 5.957 0.627 1.482
H 7.689 0.923 3.030
H 7.927 4.139 1.155
H 8.604 2.021 0.431
H 9.266 2.712 2.588
H 9.944 0.594 3.312
H 10.182 3.809 0.873
Br 0.000 1.448 1.188
Br 5.957 3.285 3.345
```

Main lines, in order of rising 2θ (2θ from 10° to 90°):
| Position (°2θ) | Rel. int. |
| --- | --- |
| 14.9 | 81.2 |
| 20.2 | 100.0 |
| 21.9 | 93.0 |
| 29.4 | 41.9 |
| 30.6 | 41.5 |
| 31.8 | 91.1 |

Computed X-ray powder pattern
Compound: Rb2BeHBr6
Radiation: a wavelength of 1.5418 Å
Structure: a structure optimized by DFT (GGA-PBE)

Structure:
```
10
Lattice="-3.647 3.647 5.522 3.647 -3.647 5.522 3.647 3.647 -5.522" Properties=species:S:1:pos:R:3 pbc="T T T"
Rb 3.647 0.000 2.761
Rb 0.000 3.647 2.761
Be 0.000 0.000 0.000
H 0.000 0.000 5.522
Br 0.000 0.000 2.096
Br 2.044 2.044 0.000
Br 1.603 -1.603 5.522
Br -1.603 1.603 5.522
Br 1.603 1.603 5.522
Br 0.000 0.000 8.948
```

Main lines, in order of rising 2θ (2θ from 10° to 90°):
| Position (°2θ) | Rel. int. |
| --- | --- |
| 27.1 | 15.0 |
| 29.3 | 100.0 |
| 34.8 | 35.8 |
| 48.3 | 15.6 |
| 51.6 | 15.0 |
| 59.1 | 19.5 |